Y3Er8: simulated PXRD pattern (Cu Ka), based on a crystal structure in Alexandria, relaxed with PBE.
Kinematic intensities with the Lorentz-polarization factor, no thermal factor.

The 10 most intense peaks (2θ from 10° to 90°), by angle:
- 29.71 deg, I 12
- 31.60 deg, I 85
- 32.25 deg, I 100
- 45.78 deg, I 31
- 55.89 deg, I 13
- 57.10 deg, I 32
- 57.51 deg, I 19
- 60.48 deg, I 11
- 67.49 deg, I 12
- 76.43 deg, I 13

Structure:
a b c (Å): 13.2380 13.2380 13.2380
angles (deg): 24.21 24.21 24.21
Fractional positions:
Y 0.0000 0.0000 0.0000
Y 0.2650 0.2650 0.2650
Y 0.7350 0.7350 0.7350
Er 0.0834 0.0834 0.0834
Er 0.1710 0.1710 0.1710
Er 0.3618 0.3618 0.3618
Er 0.4548 0.4548 0.4548
Er 0.5452 0.5452 0.5452
Er 0.6382 0.6382 0.6382
Er 0.8290 0.8290 0.8290
Er 0.9166 0.9166 0.9166